(1)
Simulated X-ray diffraction stick pattern
Compound: Nd2MoC2
Radiation: Cu Kα (weighted mean of Kα1 and Kα2)
Structure: the GGA-PBE geometry in OQMD
Neutral-atom scattering factors, no anomalous dispersion.

Main lines, sorted by position (2θ from 10° to 90°):
(hkl), Position (°2θ), d/Å, I (rel.)
1 0 3, 30.1, 2.973, 19
2 0 0, 30.6, 2.919, 42
1 1 3, 33.8, 2.649, 100
2 1 0, 34.4, 2.611, 49
3 0 3, 54.1, 1.695, 27
3 2 3, 63.5, 1.466, 16

```
data_Nd2MoC2
_cell_length_a 5.8374
_cell_length_b 5.8374
_cell_length_c 10.3629
_cell_angle_alpha 90.00
_cell_angle_beta 90.00
_cell_angle_gamma 90.00
_space_group_name_H-M_alt 'P 42/m n m'
_space_group_IT_number 136
_space_group_name_Hall '-P 4n 2n'
loop_
_atom_site_label
_atom_site_type_symbol
_atom_site_fract_x
_atom_site_fract_y
_atom_site_fract_z
Nd1 Nd 0.1980 0.1980 0.1557
Mo1 Mo 0.1756 0.1756 0.5000
C1 C 0.0000 0.0000 0.3555
C2 C 0.0000 0.5000 0.0000
```


(2)
Simulated X-ray diffraction stick pattern
Compound: NdTmMo2C3
Radiation: Cu Kα (weighted mean of Kα1 and Kα2)
Structure: the GGA-PBE geometry in OQMD
Neutral-atom scattering factors, no anomalous dispersion.

Main lines, sorted by position (2θ from 10° to 90°):
(hkl), Position (°2θ), d/Å, I (rel.)
2 0 1, 26.2, 3.404, 16
2 0 -2, 31.8, 2.811, 47
4 0 0, 33.0, 2.718, 41
1 1 1, 33.1, 2.703, 100
3 1 -1, 36.6, 2.458, 85
2 0 2, 40.8, 2.211, 23

```
data_NdTmMo2C3
_cell_length_a 11.3676
_cell_length_b 3.4160
_cell_length_c 5.7621
_cell_angle_alpha 90.00
_cell_angle_beta 107.00
_cell_angle_gamma 90.00
_space_group_name_H-M_alt 'C 1 m 1'
_space_group_IT_number 8
loop_
_space_group_symop_operation_xyz
'x,y,z'
'x,-y,z'
'x+1/2,y+1/2,z'
'x+1/2,-y+1/2,z'
loop_
_atom_site_label
_atom_site_type_symbol
_atom_site_fract_x
_atom_site_fract_y
_atom_site_fract_z
Nd1 Nd 0.0000 0.0000 0.0000
Tm1 Tm 0.2249 0.0000 0.6451
Mo1 Mo 0.2620 0.5000 0.2054
Mo2 Mo 0.4595 0.0000 0.4481
C1 C 0.1138 0.5000 0.3395
C2 C 0.3340 0.0000 0.0845
C3 C 0.3798 0.5000 0.5613
```


(3)
Simulated X-ray diffraction stick pattern
Compound: Ni3Mo3C
Radiation: Cu Kα (weighted mean of Kα1 and Kα2)
Structure: the GGA-PBE geometry in OQMD
Neutral-atom scattering factors, no anomalous dispersion.

Main lines, sorted by position (2θ from 10° to 90°):
(hkl), Position (°2θ), d/Å, I (rel.)
3 3 1, 35.3, 2.541, 13
4 2 2, 39.9, 2.261, 40
3 3 3, 42.4, 2.132, 100
4 4 0, 46.4, 1.958, 49
6 6 0, 72.4, 1.305, 31
9 3 3, 87.7, 1.113, 16

a = 11.0765 Å, b = 11.0765 Å, c = 11.0765 Å
α = 90.00°, β = 90.00°, γ = 90.00°
Space group Fd-3m (No. 227, origin choice 2)
Inequivalent atoms, fractional coordinates:
Ni (0.0000, 0.0000, 0.0000) x16
Ni (0.0415, 0.0415, 0.2085) x32
Mo (0.0777, 0.3750, 0.8750) x48
C (0.0000, 0.0000, 0.5000) x16


(4)
Simulated X-ray diffraction stick pattern
Compound: Ni6Mo6C
Radiation: Cu Kα (weighted mean of Kα1 and Kα2)
Structure: the GGA-PBE geometry in OQMD
Neutral-atom scattering factors, no anomalous dispersion.

Main lines, sorted by position (2θ from 10° to 90°):
(hkl), Position (°2θ), d/Å, I (rel.)
3 3 1, 35.9, 2.504, 15
4 2 2, 40.5, 2.228, 36
3 3 3, 43.1, 2.101, 100
4 4 0, 47.1, 1.930, 36
6 6 0, 73.6, 1.286, 32
9 3 3, 89.3, 1.097, 16

a = 10.9163 Å, b = 10.9163 Å, c = 10.9163 Å
α = 90.00°, β = 90.00°, γ = 90.00°
Space group Fd-3m (No. 227, origin choice 2)
Inequivalent atoms, fractional coordinates:
Ni (0.0000, 0.0000, 0.0000) x16
Ni (0.0414, 0.0414, 0.2086) x32
Mo (0.0728, 0.3750, 0.8750) x48
C (0.1250, 0.1250, 0.6250) x8


(5)
Simulated X-ray diffraction stick pattern
Compound: TlNiMo4C2
Radiation: Cu Kα (weighted mean of Kα1 and Kα2)
Structure: the GGA-PBE geometry in OQMD
Neutral-atom scattering factors, no anomalous dispersion.

Main lines, sorted by position (2θ from 10° to 90°):
(hkl), Position (°2θ), d/Å, I (rel.)
1 0 0, 33.1, 2.703, 29
1 0 2, 35.9, 2.502, 18
1 0 3, 39.1, 2.305, 100
1 1 0, 59.2, 1.560, 22
2 0 3, 73.2, 1.292, 22
1 1 6, 74.4, 1.274, 14

```
data_TlNiMo4C2
_cell_length_a 3.1207
_cell_length_b 3.1207
_cell_length_c 13.2520
_cell_angle_alpha 90.00
_cell_angle_beta 90.00
_cell_angle_gamma 120.00
_space_group_name_H-M_alt 'P -6 m 2'
_space_group_IT_number 187
_space_group_name_Hall 'P -6 2'
loop_
_atom_site_label
_atom_site_type_symbol
_atom_site_fract_x
_atom_site_fract_y
_atom_site_fract_z
Tl1 Tl 0.0000 0.0000 0.0000
Ni1 Ni 0.3333 0.6667 0.5000
Mo1 Mo 0.0000 0.0000 0.3559
Mo2 Mo 0.3333 0.6667 0.1869
C1 C 0.6667 0.3333 0.2699
```


(6)
Simulated X-ray diffraction stick pattern
Compound: Mo2PC
Radiation: Cu Kα (weighted mean of Kα1 and Kα2)
Structure: the GGA-PBE geometry in OQMD
Neutral-atom scattering factors, no anomalous dispersion.

Main lines, sorted by position (2θ from 10° to 90°):
(hkl), Position (°2θ), d/Å, I (rel.)
3 1 -1, 32.4, 2.766, 52
3 1 -2, 33.4, 2.680, 47
3 1 2, 39.8, 2.266, 100
0 2 3, 40.2, 2.243, 95
3 1 -4, 40.3, 2.237, 99
3 3 -1, 57.9, 1.592, 46

```
data_Mo2PC
_cell_length_a 9.6012
_cell_length_b 5.5037
_cell_length_c 12.0035
_cell_angle_alpha 90.00
_cell_angle_beta 104.56
_cell_angle_gamma 90.00
_space_group_name_H-M_alt 'C 1 2/c 1'
_space_group_IT_number 15
loop_
_space_group_symop_operation_xyz
'x,y,z'
'-x,-y,-z'
'-x,y,-z+1/2'
'x,-y,z+1/2'
'x+1/2,y+1/2,z'
'-x+1/2,-y+1/2,-z'
'-x+1/2,y+1/2,-z+1/2'
'x+1/2,-y+1/2,z+1/2'
loop_
_atom_site_label
_atom_site_type_symbol
_atom_site_fract_x
_atom_site_fract_y
_atom_site_fract_z
Mo1 Mo 0.0654 0.0848 0.4124
Mo2 Mo 0.1222 0.4357 0.6038
Mo3 Mo 0.2094 0.4000 0.8972
P1 P 0.0000 0.4004 0.2500
P2 P 0.1591 0.0734 0.7504
C1 C 0.0801 0.2484 0.0009
C2 C 0.2500 0.2500 0.5000
```


> Which formula does entry 2 have?

NdTmMo2C3


Copy entry 5 word for word.
Simulated X-ray diffraction stick pattern
Compound: TlNiMo4C2
Radiation: Cu Kα (weighted mean of Kα1 and Kα2)
Structure: the GGA-PBE geometry in OQMD
Neutral-atom scattering factors, no anomalous dispersion.

Main lines, sorted by position (2θ from 10° to 90°):
(hkl), Position (°2θ), d/Å, I (rel.)
1 0 0, 33.1, 2.703, 29
1 0 2, 35.9, 2.502, 18
1 0 3, 39.1, 2.305, 100
1 1 0, 59.2, 1.560, 22
2 0 3, 73.2, 1.292, 22
1 1 6, 74.4, 1.274, 14

```
data_TlNiMo4C2
_cell_length_a 3.1207
_cell_length_b 3.1207
_cell_length_c 13.2520
_cell_angle_alpha 90.00
_cell_angle_beta 90.00
_cell_angle_gamma 120.00
_space_group_name_H-M_alt 'P -6 m 2'
_space_group_IT_number 187
_space_group_name_Hall 'P -6 2'
loop_
_atom_site_label
_atom_site_type_symbol
_atom_site_fract_x
_atom_site_fract_y
_atom_site_fract_z
Tl1 Tl 0.0000 0.0000 0.0000
Ni1 Ni 0.3333 0.6667 0.5000
Mo1 Mo 0.0000 0.0000 0.3559
Mo2 Mo 0.3333 0.6667 0.1869
C1 C 0.6667 0.3333 0.2699
```